[1]
Diffraction record for CsLaCl4O3. The XRD peak list is theoretical, not measured: it uses a DFT-relaxed cell (GGA-PBE, the Materials Project) and λ = 1.5418 Å (Cu Kα).
Neutral-atom scattering factors, no anomalous dispersion.

Most intense lines, 2θ = 15–90°, low angle first:
two_theta, intensity
16.56, 86
18.09, 89
20.10, 76
22.10, 100
30.71, 70
33.47, 62

Atomic structure:
```
data_CsLaCl4O3
_symmetry_space_group_name_H-M 'P 1'
_symmetry_Int_Tables_number 1
_symmetry_space_group_name_Hall 'P 1'
_cell_length_a 7.286
_cell_length_b 8.021
_cell_length_c 9.438
_cell_angle_alpha 90.00
_cell_angle_beta 99.28
_cell_angle_gamma 90.00
loop_
_atom_site_label
_atom_site_fract_x
_atom_site_fract_y
_atom_site_fract_z
Cs1 0.092 0.250 0.326
Cs2 0.908 0.750 0.674
La1 0.443 0.250 0.883
La2 0.557 0.750 0.117
Cl1 0.264 0.005 0.049
Cl2 0.264 0.495 0.049
Cl3 0.302 0.030 0.643
Cl4 0.302 0.470 0.643
Cl5 0.698 0.530 0.357
Cl6 0.698 0.970 0.357
Cl7 0.736 0.505 0.951
Cl8 0.736 0.995 0.951
O1 0.134 0.250 0.752
O2 0.452 0.250 0.153
O3 0.457 0.750 0.353
O4 0.543 0.250 0.647
O5 0.548 0.750 0.847
O6 0.866 0.750 0.248
```

=====

[2]
Diffraction record for Cs3Li2Cl5. The XRD peak list is theoretical, not measured: it uses a DFT-relaxed cell (GGA-PBE, the Materials Project) and λ = 1.5418 Å (Cu Kα).
Neutral-atom scattering factors, no anomalous dispersion.

Most intense lines, 2θ = 15–90°, low angle first:
two_theta, intensity
18.58, 27
29.07, 27
29.76, 100
30.43, 24
42.59, 27
51.96, 20

Atomic structure:
```
data_Cs3Li2Cl5
_symmetry_space_group_name_H-M 'P 1'
_symmetry_Int_Tables_number 1
_symmetry_space_group_name_Hall 'P 1'
_cell_length_a 12.812
_cell_length_b 12.812
_cell_length_c 4.244
_cell_angle_alpha 99.53
_cell_angle_beta 99.53
_cell_angle_gamma 147.15
loop_
_atom_site_label
_atom_site_fract_x
_atom_site_fract_y
_atom_site_fract_z
Cs1 0.000 0.000 0.000
Cs2 0.369 0.618 0.484
Cs3 0.618 0.369 0.484
Li1 0.171 0.736 0.436
Li2 0.736 0.171 0.436
Cl1 0.118 0.874 0.481
Cl2 0.315 0.794 0.038
Cl3 0.498 0.498 0.985
Cl4 0.794 0.315 0.038
Cl5 0.874 0.118 0.481
```

=====

[3]
Diffraction record for Cs2LiLuCl6. The XRD peak list is theoretical, not measured: it uses a DFT-relaxed cell (GGA-PBE, the Materials Project) and λ = 1.5418 Å (Cu Kα).
Neutral-atom scattering factors, no anomalous dispersion.

Most intense lines, 2θ = 15–90°, low angle first:
two_theta, intensity
23.87, 100
28.07, 28
29.35, 28
34.02, 65
41.99, 46
48.87, 44

Atomic structure:
```
data_Cs2LiLuCl6
_symmetry_space_group_name_H-M 'P 1'
_symmetry_Int_Tables_number 1
_symmetry_space_group_name_Hall 'P 1'
_cell_length_a 7.454
_cell_length_b 7.454
_cell_length_c 7.454
_cell_angle_alpha 60.00
_cell_angle_beta 60.00
_cell_angle_gamma 60.00
loop_
_atom_site_label
_atom_site_fract_x
_atom_site_fract_y
_atom_site_fract_z
Cs1 0.250 0.250 0.250
Cs2 0.750 0.750 0.750
Li1 0.000 0.000 0.000
Lu1 0.500 0.500 0.500
Cl1 0.254 0.254 0.746
Cl2 0.254 0.746 0.254
Cl3 0.254 0.746 0.746
Cl4 0.746 0.254 0.254
Cl5 0.746 0.254 0.746
Cl6 0.746 0.746 0.254
```

=====

[4]
Diffraction record for Cs2LiMoCl6. The XRD peak list is theoretical, not measured: it uses a DFT-relaxed cell (GGA-PBE, the Materials Project) and λ = 1.5418 Å (Cu Kα).
Neutral-atom scattering factors, no anomalous dispersion.

Most intense lines, 2θ = 15–90°, low angle first:
two_theta, intensity
24.30, 100
29.88, 66
34.64, 78
42.76, 44
49.79, 52
67.68, 24

Atomic structure:
```
data_Cs2LiMoCl6
_symmetry_space_group_name_H-M 'P 1'
_symmetry_Int_Tables_number 1
_symmetry_space_group_name_Hall 'P 1'
_cell_length_a 7.325
_cell_length_b 7.325
_cell_length_c 7.325
_cell_angle_alpha 60.00
_cell_angle_beta 60.00
_cell_angle_gamma 60.00
loop_
_atom_site_label
_atom_site_fract_x
_atom_site_fract_y
_atom_site_fract_z
Cs1 0.250 0.250 0.250
Cs2 0.750 0.750 0.750
Li1 0.000 0.000 0.000
Mo1 0.500 0.500 0.500
Cl1 0.260 0.260 0.740
Cl2 0.260 0.740 0.260
Cl3 0.260 0.740 0.740
Cl4 0.740 0.260 0.260
Cl5 0.740 0.260 0.740
Cl6 0.740 0.740 0.260
```